Structure and computed powder X-ray diffraction pattern of Ac2TaPbO6 (a cell relaxed with PBE; Cu Kα, 1.54184 Å).

Top 10 peaks for 15 to 90 degrees two-theta, most intense first:
hkl 1 1 1, 2θ 26.86, I 100
hkl 2 0 0, 2θ 31.01, I 37
hkl 3 1 1, 2θ 52.69, I 33
hkl 2 0 2, 2θ 44.66, I 23
hkl 2 2 0, 2θ 44.43, I 18
hkl 0 0 2, 2θ 31.32, I 10
hkl 2 2 2, 2θ 55.36, I 9
hkl 5 1 1, 2θ 88.04, I 8
hkl 4 2 2, 2θ 81.98, I 8
hkl 1 1 3, 2θ 53.08, I 8

Structure:
```
data_Ac2TaPbO6
_symmetry_space_group_name_H-M 'P 4 m m'
_symmetry_Int_Tables_number 99
_symmetry_space_group_name_Hall 'P 4 -2'
_cell_length_a 5.7668
_cell_length_b 5.7668
_cell_length_c 5.7121
_cell_angle_alpha 90.00
_cell_angle_beta 90.00
_cell_angle_gamma 90.00
loop_
_atom_site_label
_atom_site_type_symbol
_atom_site_fract_x
_atom_site_fract_y
_atom_site_fract_z
Ac1 Ac 0.0000 0.5000 0.0000
Ta1 Ta 0.0000 0.0000 0.6232
Pb1 Pb 0.5000 0.5000 0.5020
O1 O 0.0000 0.0000 0.2916
O2 O 0.2222 0.2222 0.7575
O3 O 0.5000 0.5000 0.1038
```